Calculated XRD peak list of CaAsRh2 for Cu Kα (weighted mean of Kα1 and Kα2), from a DFT-relaxed cell (GGA-PBE, Alexandria).
Intensities are scaled so that the largest is 100.

Largest 10 diffraction maxima, by angle, 5° ≤ 2θ ≤ 70°:
| 2theta | I (rel.) | (hkl) |
| --- | --- | --- |
| 19.2 | 55 | 0 0 1 |
| 29.0 | 20 | 1 0 1 |
| 36.5 | 100 | 1 1 1 |
| 44.0 | 43 | 2 0 0 |
| 44.9 | 11 | 1 0 2 |
| 48.4 | 19 | 2 0 1 |
| 50.4 | 33 | 1 1 2 |
| 60.2 | 9 | 2 0 2 |
| 64.0 | 14 | 2 2 0 |
| 68.9 | 12 | 1 1 3 |

Atomic structure:
```
CaAsRh2
1.0
4.117 0.000 0.000
0.000 4.117 0.000
0.000 0.000 4.629
Ca As Rh
1 1 2
direct
0.000 0.000 0.000
0.500 0.500 0.749
0.000 0.500 0.484
0.500 0.000 0.484
```